Record 1
This entry pairs a crystal structure of MgAl2Cu2O6 with its calculated powder X-ray diffraction pattern. Radiation: a wavelength of 1.5418 Å. Structure: a DFT-relaxed cell (PBE, the Materials Project).

Crystal structure
Lattice parameters (Å, degrees): 2.9457 2.9457 14.8765 90.00 90.00 120.00
Fractional positions:
Mg (0.0000, 0.0000, 0.0000)
Al (0.3333, 0.6667, 0.3605)
Al (0.3333, 0.6667, 0.8254)
Cu (0.0000, 0.0000, 0.5601)
Cu (0.6667, 0.3333, 0.1657)
O (0.0000, 0.0000, 0.4240)
O (0.0000, 0.0000, 0.7817)
O (0.3333, 0.6667, 0.0805)
O (0.3333, 0.6667, 0.6076)
O (0.6667, 0.3333, 0.2952)
O (0.6667, 0.3333, 0.9172)

Top 6 peaks for 2θ = 10–90°, in order of rising 2θ:
2theta  d_spacing  Rel. int.
17.9  4.959  36
30.0  2.975  47
35.7  2.514  100
37.3  2.413  73
43.0  2.104  83
63.1  1.473  52

=====

Record 2
This entry pairs a crystal structure of EuAlAg4 with its calculated powder X-ray diffraction pattern. Radiation: a wavelength of 1.5418 Å. Structure: a DFT-relaxed cell (PBE, the Materials Project).

Crystal structure
Lattice parameters (Å, degrees): 5.8157 5.8157 4.4160 90.00 90.00 120.00
Fractional positions:
Eu (0.0000, 0.0000, 0.0000)
Al (0.3333, 0.6667, 0.0000)
Ag (0.0066, 0.5033, 0.5000)
Ag (0.4967, 0.5033, 0.5000)
Ag (0.4967, 0.9934, 0.5000)
Ag (0.6667, 0.3333, 0.0000)

Top 6 peaks for 2θ = 10–90°, in order of rising 2θ:
2theta  d_spacing  Rel. int.
26.9  3.320  64
35.7  2.518  62
37.0  2.429  100
40.9  2.208  30
41.3  2.188  31
55.3  1.660  33

=====

Record 3
This entry pairs a crystal structure of Li2CdSb with its calculated powder X-ray diffraction pattern. Radiation: a wavelength of 1.5418 Å. Structure: a DFT-relaxed cell (PBE, the Materials Project).

Crystal structure
Lattice parameters (Å, degrees): 4.8211 4.8211 4.8211 60.00 60.00 60.00
Fractional positions:
Li (0.2500, 0.2500, 0.2500)
Li (0.7500, 0.7500, 0.7500)
Cd (0.0000, 0.0000, 0.0000)
Sb (0.5000, 0.5000, 0.5000)

Top 6 peaks for 2θ = 10–90°, in order of rising 2θ:
2theta  d_spacing  Rel. int.
26.1  3.409  100
37.3  2.411  93
46.1  1.968  28
60.8  1.525  36
67.3  1.392  31
85.4  1.136  17

=====

What is the formula in the second record?
EuAlAg4